Diffraction record for K3VCO8. The powder diffraction line list is calculated, not measured: it uses a PBE+U-relaxed structure and Cu Ka.

Crystal structure
a = 9.221 Å, b = 9.384 Å, c = 5.727 Å
α = 90.00°, β = 123.69°, γ = 90.00°
Space group Cm (No. 8)
One atom of each set of equivalent atoms:
K 0.000 0.000 0.000 (multiplicity 2)
K 0.470 0.215 0.471 (multiplicity 4)
V 0.095 0.500 0.106 (multiplicity 2)
C 0.260 0.000 0.749 (multiplicity 2)
O 0.072 0.292 0.043 (multiplicity 4)
O 0.095 0.000 0.597 (multiplicity 2)
O 0.197 0.500 0.455 (multiplicity 2)
O 0.209 0.360 0.025 (multiplicity 4)
O 0.348 0.000 0.028 (multiplicity 2)
O 0.359 0.000 0.651 (multiplicity 2)

Most intense lines, 2θ from 10° to 90°, by angle:
2θ = 14.9°, rel. 46; 2θ = 18.2°, rel. 31; 2θ = 23.2°, rel. 41; 2θ = 26.7°, rel. 42; 2θ = 27.7°, rel. 100; 2θ = 31.3°, rel. 42; 2θ = 37.8°, rel. 42; 2θ = 38.4°, rel. 34